(1)
The following is a computed PXRD pattern of Ce3Sm2Tl6. It was derived from a DFT-relaxed cell (GGA-PBE, Alexandria), using Cu Kα, 1.54184 Å.
Lines closer than 0.1° are merged.

Structural model:
Cell lengths 6.027, 6.027, 22.361 Å; angles 90.00, 90.00, 90.00 degrees
Space group I4/mmm (No. 139)
One atom of each set of equivalent atoms:
Ce  0.000  0.000  0.000
Ce  0.000  0.000  0.138
Sm  0.000  0.000  0.423
Tl  0.000  0.000  0.283
Tl  0.000  0.500  0.071

Largest 10 diffraction maxima, sorted by position, 10 to 90 degrees two-theta:
2theta  I/Imax
22.3  39
23.9  17
29.6  100
31.7  55
38.4  21
38.5  19
42.4  38
44.0  45
66.2  19
69.8  18

(2)
The following is a computed PXRD pattern of SmSiHg. It was derived from a DFT-relaxed cell (GGA-PBE, Alexandria), using Cu Kα, 1.54184 Å.
Lines closer than 0.1° are merged.

Structural model:
Cell lengths 16.431, 4.389, 3.917 Å; angles 90.00, 100.08, 90.00 degrees
Space group C2/m (No. 12)
One atom of each set of equivalent atoms:
Sm  0.097  0.000  0.322
Si  0.044  0.500  0.781
Hg  0.213  0.500  0.781

Largest 10 diffraction maxima, sorted by position, 10 to 90 degrees two-theta:
2theta  I/Imax
10.9  47
29.1  47
30.6  41
32.1  100
34.4  80
37.2  17
41.1  31
44.2  28
51.2  20
56.6  21

(3)
The following is a computed PXRD pattern of SmGeTe3. It was derived from a DFT-relaxed cell (GGA-PBE, Alexandria), using Cu Kα, 1.54184 Å.
Lines closer than 0.1° are merged.

Structural model:
Cell lengths 13.168, 4.264, 10.782 Å; angles 90.00, 90.00, 90.00 degrees
Space group Pnma (No. 62)
One atom of each set of equivalent atoms:
Sm  0.189  0.250  0.006
Ge  0.019  0.750  0.686
Te  0.035  0.750  0.138
Te  0.127  0.250  0.526
Te  0.217  0.750  0.790

Largest 10 diffraction maxima, sorted by position, 10 to 90 degrees two-theta:
2theta  I/Imax
26.2  53
27.5  26
30.0  100
30.4  29
31.9  32
33.3  32
33.7  44
35.1  27
36.0  29
42.4  44